[1]
This entry pairs a crystal structure of Zn3Cu7Ir with its simulated X-ray powder pattern. Radiation: λ = 1.5418 Å (Cu Kα). Structure: a GGA-PBE-relaxed structure.
Peak positions follow from Bragg's law for the DFT cell and can differ from measured ones.

Principal peaks in the range 2θ = 15–90°, by angle:
d/Å, two_theta, Rel. int., (hkl)
4.544, 19.5, 23, 1 0 0
3.676, 24.2, 18, 0 1 1
2.135, 42.3, 100, 0 2 1
2.084, 43.4, 30, 0 0 3
1.838, 49.6, 61, 2 0 2
1.312, 72.0, 18, 2 2 0
1.288, 73.6, 18, 0 2 4
1.118, 87.2, 11, 4 0 1
1.110, 88.0, 21, 2 2 3
1.095, 89.5, 10, 2 0 5

Cell and atoms:
```
data_Zn3Cu7Ir
_chemical_formula_sum 'Zn3 Cu7 Ir1'
_symmetry_space_group_name_H-M 'P 1'
_symmetry_Int_Tables_number 1
_cell_length_a 5.2474
_cell_length_b 5.2474
_cell_length_c 6.2506
_cell_angle_alpha 90.00
_cell_angle_beta 90.00
_cell_angle_gamma 120.00
loop_
_symmetry_equiv_pos_as_xyz
'x,y,z'
loop_
_atom_site_label
_atom_site_type_symbol
_atom_site_fract_x
_atom_site_fract_y
_atom_site_fract_z
Zn1 Zn 0.1675 0.3350 0.0000
Zn2 Zn 0.1675 0.8325 0.0000
Zn3 Zn 0.6650 0.8325 0.0000
Cu1 Cu 0.3333 0.6667 0.3266
Cu2 Cu 0.3383 0.1691 0.3303
Cu3 Cu 0.5011 0.0022 0.6606
Cu4 Cu 0.5011 0.4989 0.6606
Cu5 Cu 0.8309 0.1691 0.3303
Cu6 Cu 0.8309 0.6617 0.3303
Cu7 Cu 0.9978 0.4989 0.6606
Ir1 Ir 0.0000 0.0000 0.6699
```

***

[2]
This entry pairs a crystal structure of Ti11O14 with its simulated X-ray powder pattern. Radiation: λ = 1.5418 Å (Cu Kα). Structure: a GGA-PBE-relaxed structure.
Peak positions follow from Bragg's law for the DFT cell and can differ from measured ones.

Principal peaks in the range 2θ = 15–90°, by angle:
d/Å, two_theta, Rel. int., (hkl)
4.081, 21.8, 14, 1 1 1
3.942, 22.6, 16, 1 0 -1
2.432, 37.0, 13, 1 1 -3
2.100, 43.1, 49, 1 -1 4
2.082, 43.5, 100, -1 1 3
1.490, 62.3, 14, 0 0 7
1.485, 62.5, 13, 1 3 -3
1.472, 63.2, 26, 3 1 5
1.471, 63.2, 14, 1 3 4
1.468, 63.4, 13, 2 -2 1

Cell and atoms:
```
data_Ti11O14
_chemical_formula_sum 'Ti11 O14'
_symmetry_space_group_name_H-M 'P 1'
_symmetry_Int_Tables_number 1
_cell_length_a 5.0794
_cell_length_b 5.1062
_cell_length_c 10.7320
_cell_angle_alpha 86.08
_cell_angle_beta 76.39
_cell_angle_gamma 70.40
loop_
_symmetry_equiv_pos_as_xyz
'x,y,z'
loop_
_atom_site_label
_atom_site_type_symbol
_atom_site_fract_x
_atom_site_fract_y
_atom_site_fract_z
Ti1 Ti 0.0000 0.0000 0.0000
Ti2 Ti 0.0889 0.4906 0.8552
Ti3 Ti 0.2318 0.4865 0.5788
Ti4 Ti 0.3048 0.9911 0.4346
Ti5 Ti 0.3745 0.5151 0.2690
Ti6 Ti 0.4314 0.9908 0.1432
Ti7 Ti 0.5686 0.0092 0.8568
Ti8 Ti 0.6255 0.4849 0.7310
Ti9 Ti 0.6952 0.0089 0.5654
Ti10 Ti 0.7682 0.5135 0.4212
Ti11 Ti 0.9111 0.5094 0.1448
O1 O 0.0475 0.7368 0.4342
O2 O 0.1162 0.2590 0.2837
O3 O 0.1724 0.7565 0.1407
O4 O 0.2492 0.2532 0.0038
O5 O 0.3193 0.7501 0.8621
O6 O 0.3835 0.2236 0.7163
O7 O 0.4668 0.7391 0.5817
O8 O 0.5332 0.2609 0.4183
O9 O 0.6165 0.7764 0.2837
O10 O 0.6807 0.2499 0.1379
O11 O 0.7508 0.7468 0.9962
O12 O 0.8276 0.2435 0.8593
O13 O 0.8838 0.7410 0.7163
O14 O 0.9525 0.2632 0.5658
```

***

> What is the formula in the first record?

Zn3Cu7Ir